No. 1
Calculated X-ray powder pattern
Compound: Cs3K3Pb2
Radiation: Cu Ka
Structure: a crystal structure in Alexandria, relaxed with GGA-PBE
Peak positions follow from Bragg's law for the DFT cell and can differ from measured ones.

Crystal structure
```
Cs3K3Pb2
1.0
4.9843 0.0000 0.0000
-0.0118 8.1031 0.0000
-2.4476 -3.4045 13.7501
Cs K Pb
3 3 2
direct
0.0000 0.0000 0.0000
0.1817 0.8242 0.3603
0.8183 0.1758 0.6397
0.3560 0.6975 0.7150
0.5000 0.5000 0.0000
0.6440 0.3025 0.2850
0.2404 0.3771 0.4808
0.7596 0.6229 0.5192
```

Principal peaks in the range 5° ≤ 2θ ≤ 70°, in order of rising 2θ:
d [Å]	two_theta	I_rel
13.750	6.4	100
6.875	12.9	27
6.214	14.3	15
3.834	23.2	13
3.693	24.1	13
3.572	24.9	27
3.109	28.7	19
3.006	29.7	15
2.704	33.1	19
2.072	43.7	11

---

No. 2
Calculated X-ray powder pattern
Compound: CsKPtPb2
Radiation: Cu Ka
Structure: a crystal structure in Alexandria, relaxed with GGA-PBE
Peak positions follow from Bragg's law for the DFT cell and can differ from measured ones.

Crystal structure
```
CsKPtPb2
1.0
5.5045 0.0000 0.0000
0.0000 5.5045 0.0000
0.0000 0.0000 6.2686
Cs K Pt Pb
1 1 1 2
direct
0.0000 0.0000 0.0000
0.5000 0.5000 0.0000
0.5000 0.5000 0.5000
0.0000 0.5000 0.5000
0.5000 0.0000 0.5000
```

Principal peaks in the range 5° ≤ 2θ ≤ 70°, in order of rising 2θ:
d [Å]	two_theta	I_rel
6.269	14.1	100
4.136	21.5	69
3.307	27.0	77
3.134	28.5	66
2.752	32.5	94
2.520	35.6	46
2.291	39.3	30
2.068	43.8	83
1.946	46.7	35
1.653	55.6	41

---

No. 3
Calculated X-ray powder pattern
Compound: Cs3K4Pd
Radiation: Cu Ka
Structure: a crystal structure in Alexandria, relaxed with GGA-PBE
Peak positions follow from Bragg's law for the DFT cell and can differ from measured ones.

Crystal structure
```
Cs3K4Pd
1.0
8.1760 0.0000 0.0000
0.0000 15.4717 0.0000
0.0000 0.0000 9.0993
Cs K Pd
6 8 2
direct
0.2500 0.0237 0.1825
0.2500 0.4763 0.1825
0.2500 0.7500 0.5535
0.7500 0.2500 0.4465
0.7500 0.5237 0.8175
0.7500 0.9763 0.8175
0.0043 0.2500 0.0167
0.2500 0.1180 0.6063
0.2500 0.3820 0.6063
0.4957 0.2500 0.0167
0.5043 0.7500 0.9833
0.7500 0.6180 0.3937
0.7500 0.8820 0.3937
0.9957 0.7500 0.9833
0.2500 0.2500 0.3084
0.7500 0.7500 0.6916
```

Principal peaks in the range 5° ≤ 2θ ≤ 70°, in order of rising 2θ:
d [Å]	two_theta	I_rel
7.843	11.3	69
6.082	14.6	100
4.781	18.6	51
4.088	21.7	84
3.976	22.4	51
3.924	22.7	54
3.868	23.0	61
3.359	26.5	96
3.264	27.3	71
2.109	42.9	51

---

No. 4
Calculated X-ray powder pattern
Compound: Cs7K12Pd
Radiation: Cu Ka
Structure: a crystal structure in Alexandria, relaxed with GGA-PBE
Peak positions follow from Bragg's law for the DFT cell and can differ from measured ones.

Crystal structure
```
Cs7K12Pd
1.0
12.9039 7.4501 2.8055
-12.9039 7.4501 2.8055
0.0000 -14.9002 2.8055
Cs K Pd
7 12 1
direct
0.0000 0.0000 0.0000
0.1852 0.4073 0.4076
0.4073 0.4076 0.1852
0.4076 0.1852 0.4073
0.5924 0.8148 0.5927
0.5927 0.5924 0.8148
0.8148 0.5927 0.5924
0.9999 0.4082 0.5918
0.0001 0.5918 0.4082
0.0293 0.3933 0.0297
0.0297 0.0293 0.3933
0.3933 0.0297 0.0293
0.4082 0.0001 0.5918
0.4082 0.5918 0.9999
0.5918 0.9999 0.4082
0.5918 0.4082 0.0001
0.6067 0.9703 0.9707
0.9703 0.9707 0.6067
0.9707 0.6067 0.9703
0.5000 0.5000 0.5000
```

Principal peaks in the range 5° ≤ 2θ ≤ 70°, in order of rising 2θ:
d [Å]	two_theta	I_rel
12.904	6.9	100
7.877	11.2	12
4.991	17.8	13
3.946	22.5	56
3.623	24.6	14
3.579	24.9	12
3.482	25.6	29
3.064	29.1	22
2.983	29.9	14
2.581	34.8	19

---

No. 5
Calculated X-ray powder pattern
Compound: Cs6K2Pd
Radiation: Cu Ka
Structure: a crystal structure in Alexandria, relaxed with GGA-PBE
Peak positions follow from Bragg's law for the DFT cell and can differ from measured ones.

Crystal structure
```
Cs6K2Pd
1.0
10.3513 0.0000 0.0000
0.0000 10.3369 0.0000
-10.3486 0.0000 14.5649
Cs K Pd
12 4 2
direct
0.2356 0.0000 0.2371
0.2356 0.2384 0.9998
0.2356 0.2616 0.4998
0.2356 0.5000 0.7371
0.2372 0.7368 0.4999
0.2372 0.7632 0.9999
0.7628 0.2368 0.0001
0.7628 0.2632 0.5001
0.7644 0.0000 0.7629
0.7644 0.5000 0.2629
0.7644 0.7384 0.5002
0.7644 0.7616 0.0002
0.2531 0.9998 0.7514
0.2531 0.5002 0.2514
0.7469 0.0002 0.2486
0.7469 0.4998 0.7486
0.0000 0.0000 0.0000
0.0000 0.5000 0.5000
```

Principal peaks in the range 5° ≤ 2θ ≤ 70°, in order of rising 2θ:
d [Å]	two_theta	I_rel
8.434	10.5	26
7.304	12.1	39
4.217	21.1	100
3.657	24.3	58
3.641	24.4	29
2.586	34.7	22
2.580	34.8	44
2.204	40.9	32
2.108	42.9	24
1.635	56.3	20

---

No. 6
Calculated X-ray powder pattern
Compound: Cs4K2Pd
Radiation: Cu Ka
Structure: a crystal structure in Alexandria, relaxed with GGA-PBE
Peak positions follow from Bragg's law for the DFT cell and can differ from measured ones.

Crystal structure
```
Cs4K2Pd
1.0
-7.8353 7.8353 4.2545
7.8353 -7.8353 4.2545
7.8353 7.8353 -4.2545
Cs K Pd
8 4 2
direct
0.0868 0.8320 0.9188
0.1680 0.0868 0.2548
0.3320 0.5868 0.9188
0.4132 0.3320 0.7452
0.5868 0.6680 0.2548
0.6680 0.4132 0.0812
0.8320 0.9132 0.7452
0.9132 0.1680 0.0812
0.0955 0.4045 0.5000
0.4045 0.9045 0.3090
0.5955 0.0955 0.6910
0.9045 0.5955 0.5000
0.2500 0.2500 0.0000
0.7500 0.7500 0.0000
```

Principal peaks in the range 5° ≤ 2θ ≤ 70°, in order of rising 2θ:
d [Å]	two_theta	I_rel
11.081	8.0	100
7.835	11.3	11
4.255	20.9	21
3.871	23.0	49
3.470	25.7	30
3.228	27.6	35
2.882	31.0	24
2.753	32.5	19
2.375	37.9	13
2.087	43.4	20

---

No. 7
Calculated X-ray powder pattern
Compound: Cs2K2Rb2Pd
Radiation: Cu Ka
Structure: a crystal structure in Alexandria, relaxed with GGA-PBE
Peak positions follow from Bragg's law for the DFT cell and can differ from measured ones.

Crystal structure
```
Cs2K2Rb2Pd
1.0
5.0023 0.0000 0.0000
0.0150 10.1013 0.0000
2.4943 2.6760 10.3400
Cs K Rb Pd
2 2 2 1
direct
0.1615 0.0953 0.1761
0.8385 0.9047 0.8239
0.4954 0.2092 0.5084
0.5046 0.7908 0.4916
0.1445 0.5687 0.2111
0.8555 0.4313 0.7889
0.0000 0.0000 0.5000
```

Principal peaks in the range 5° ≤ 2θ ≤ 70°, in order of rising 2θ:
d [Å]	two_theta	I_rel
9.779	9.0	47
4.923	18.0	28
4.875	18.2	37
4.102	21.7	28
4.048	22.0	83
3.554	25.1	100
3.447	25.8	39
2.487	36.1	34
2.462	36.5	29
2.024	44.8	24

---

No. 8
Calculated X-ray powder pattern
Compound: Cs2KRb5Pd
Radiation: Cu Ka
Structure: a crystal structure in Alexandria, relaxed with GGA-PBE
Peak positions follow from Bragg's law for the DFT cell and can differ from measured ones.

Crystal structure
```
Cs2KRb5Pd
1.0
-5.0276 5.0276 7.1295
5.0276 -5.0276 7.1295
5.0276 5.0276 -7.1295
Cs K Rb Pd
2 1 5 1
direct
0.0000 0.5000 0.5000
0.5000 0.0000 0.5000
0.4807 0.4807 0.0000
0.0116 0.0116 0.5226
0.0116 0.4890 0.0000
0.0142 0.0142 0.0000
0.4890 0.0116 0.0000
0.4890 0.4890 0.4774
0.2517 0.2517 0.0000
```

Principal peaks in the range 5° ≤ 2θ ≤ 70°, in order of rising 2θ:
d [Å]	two_theta	I_rel
8.217	10.8	29
5.033	17.6	30
4.109	21.6	100
3.558	25.0	95
2.516	35.7	73
2.146	42.1	48
2.054	44.1	26
1.633	56.4	19
1.590	58.0	22
1.453	64.1	24

---

No. 9
Calculated X-ray powder pattern
Compound: CsKTe2Pd
Radiation: Cu Ka
Structure: a crystal structure in Alexandria, relaxed with GGA-PBE
Peak positions follow from Bragg's law for the DFT cell and can differ from measured ones.

Crystal structure
```
CsKTe2Pd
1.0
6.3730 0.0000 0.0000
0.0000 8.4964 0.0000
0.0000 0.0000 7.0163
Cs K Te Pd
2 2 4 2
direct
0.2500 0.0000 0.2410
0.7500 0.0000 0.7590
0.2500 0.5000 0.3906
0.7500 0.5000 0.6094
0.2500 0.2871 0.8272
0.2500 0.7129 0.8272
0.7500 0.2871 0.1728
0.7500 0.7129 0.1728
0.0000 0.5000 0.0000
0.5000 0.5000 0.0000
```

Principal peaks in the range 5° ≤ 2θ ≤ 70°, in order of rising 2θ:
d [Å]	two_theta	I_rel
7.016	12.6	53
4.124	21.5	37
3.243	27.5	20
3.187	28.0	20
3.157	28.3	100
3.073	29.1	20
2.396	37.5	21
2.359	38.2	25
2.125	42.5	19
1.834	49.7	20

---

No. 10
Calculated X-ray powder pattern
Compound: Cs2KTl6Pd
Radiation: Cu Ka
Structure: a crystal structure in Alexandria, relaxed with GGA-PBE
Peak positions follow from Bragg's law for the DFT cell and can differ from measured ones.

Crystal structure
```
Cs2KTl6Pd
1.0
7.8268 0.0000 0.0000
-3.9134 6.7782 0.0000
0.0000 0.0000 7.3638
Cs K Tl Pd
2 1 6 1
direct
0.3333 0.6667 0.1363
0.6667 0.3333 0.8637
0.0000 0.0000 0.0000
0.1960 0.3920 0.6378
0.1960 0.8040 0.6378
0.3920 0.1960 0.3622
0.6080 0.8040 0.6378
0.8040 0.1960 0.3622
0.8040 0.6080 0.3622
0.0000 0.0000 0.5000
```

Principal peaks in the range 5° ≤ 2θ ≤ 70°, in order of rising 2θ:
d [Å]	two_theta	I_rel
7.364	12.0	75
4.987	17.8	25
3.235	27.6	82
3.079	29.0	100
2.562	35.0	32
2.494	36.0	37
2.420	37.2	44
2.160	41.8	26
1.957	46.4	25
1.433	65.1	31

---

No. 11
Calculated X-ray powder pattern
Compound: Cs3K6Pt
Radiation: Cu Ka
Structure: a crystal structure in Alexandria, relaxed with GGA-PBE
Peak positions follow from Bragg's law for the DFT cell and can differ from measured ones.

Crystal structure
```
Cs3K6Pt
1.0
7.3158 4.2238 8.0843
-7.3158 4.2238 8.0843
0.0000 -8.4476 8.0843
Cs K Pt
6 12 2
direct
0.1439 0.1439 0.4961
0.1439 0.4961 0.1439
0.4961 0.1439 0.1439
0.5039 0.8561 0.8561
0.8561 0.5039 0.8561
0.8561 0.8561 0.5039
0.1170 0.8201 0.8201
0.1799 0.1799 0.8830
0.1799 0.8830 0.1799
0.2222 0.5353 0.5353
0.4647 0.4647 0.7778
0.4647 0.7778 0.4647
0.5353 0.2222 0.5353
0.5353 0.5353 0.2222
0.7778 0.4647 0.4647
0.8201 0.1170 0.8201
0.8201 0.8201 0.1170
0.8830 0.1799 0.1799
0.0000 0.0000 0.0000
0.5000 0.5000 0.5000
```

Principal peaks in the range 5° ≤ 2θ ≤ 70°, in order of rising 2θ:
d [Å]	two_theta	I_rel
7.316	12.1	28
5.615	15.8	25
5.469	16.2	49
4.455	19.9	47
3.745	23.8	100
2.920	30.6	40
2.621	34.2	24
2.439	36.9	32
2.272	39.7	16
2.044	44.3	17

---

No. 12
Calculated X-ray powder pattern
Compound: CsK14Pt
Radiation: Cu Ka
Structure: a crystal structure in Alexandria, relaxed with GGA-PBE
Peak positions follow from Bragg's law for the DFT cell and can differ from measured ones.

Crystal structure
```
CsK14Pt
1.0
11.6503 0.0000 0.0000
0.0000 6.3052 7.4325
0.0000 -6.3052 7.4325
Cs K Pt
1 14 1
direct
0.0000 0.0000 0.0000
0.0000 0.5272 0.9813
0.0000 0.9813 0.5272
0.1764 0.3571 0.6846
0.1764 0.6846 0.3571
0.2413 0.2483 0.2483
0.2434 0.7592 0.7592
0.5000 0.0043 0.5053
0.5000 0.0061 0.0061
0.5000 0.4995 0.4995
0.5000 0.5053 0.0043
0.7566 0.7592 0.7592
0.7587 0.2483 0.2483
0.8236 0.3571 0.6846
0.8236 0.6846 0.3571
0.0000 0.6437 0.6437
```

Principal peaks in the range 5° ≤ 2θ ≤ 70°, in order of rising 2θ:
d [Å]	two_theta	I_rel
11.650	7.6	77
9.616	9.2	35
7.421	11.9	47
6.287	14.1	40
4.287	20.7	29
3.709	24.0	100
3.616	24.6	30
3.090	28.9	27
2.971	30.1	20
2.142	42.2	38

---

No. 13
Calculated X-ray powder pattern
Compound: CsKTl3Pt
Radiation: Cu Ka
Structure: a crystal structure in Alexandria, relaxed with GGA-PBE
Peak positions follow from Bragg's law for the DFT cell and can differ from measured ones.

Crystal structure
```
CsKTl3Pt
1.0
3.8481 -7.5044 0.0000
3.8481 7.5044 0.0000
-0.9118 0.0000 8.7630
Cs K Tl Pt
2 2 6 2
direct
0.2411 0.7589 0.7500
0.7589 0.2411 0.2500
0.0867 0.9133 0.2500
0.9133 0.0867 0.7500
0.2456 0.3454 0.4815
0.3288 0.6712 0.2500
0.3454 0.2456 0.9815
0.6546 0.7544 0.0185
0.6712 0.3288 0.7500
0.7544 0.6546 0.5185
0.4881 0.5119 0.7500
0.5119 0.4881 0.2500
```

Principal peaks in the range 5° ≤ 2θ ≤ 70°, in order of rising 2θ:
d [Å]	two_theta	I_rel
7.504	11.8	43
6.819	13.0	100
3.784	23.5	26
3.698	24.1	38
3.043	29.4	44
2.745	32.6	42
2.692	33.3	44
2.616	34.3	24
2.191	41.2	21
1.982	45.8	20